# 1
Diffraction record for Cd2CuPtAu8. The X-ray diffraction stick pattern is theoretical, not measured: it uses a crystal structure in Alexandria, relaxed with GGA-PBE and Cu Kα X-rays.
Lines closer than 0.1° are merged.

Structural model:
a = 7.3900 Å, b = 7.3900 Å, c = 7.3900 Å
α = 115.33°, β = 115.33°, γ = 98.30°
Positions (direct):
Cd (0.0000, 0.0000, 0.0000)
Cd (0.7500, 0.2500, 0.5000)
Cu (0.2500, 0.7500, 0.5000)
Pt (0.5000, 0.5000, 0.0000)
Au (0.1681, 0.5020, 0.6661)
Au (0.2473, 0.0741, 0.8268)
Au (0.2473, 0.4205, 0.1732)
Au (0.4980, 0.1641, 0.6661)
Au (0.4980, 0.8319, 0.3339)
Au (0.5795, 0.7527, 0.8268)
Au (0.8359, 0.5020, 0.3339)
Au (0.9259, 0.7527, 0.1732)

Most intense lines, 10° ≤ 2θ ≤ 80°, sorted by position:
2theta  intensity
14.5  588
22.5  835
26.9  895
35.3  944
37.2  694
40.6  792
44.4  504
52.6  1000


# 2
Diffraction record for ZnCdCuAu2. The X-ray diffraction stick pattern is theoretical, not measured: it uses a crystal structure in Alexandria, relaxed with GGA-PBE and Cu Kα X-rays.
Lines closer than 0.1° are merged.

Structural model:
a = 3.8289 Å, b = 3.8289 Å, c = 7.6942 Å
α = 90.00°, β = 90.00°, γ = 120.00°
Positions (direct):
Zn (0.0000, 0.0000, 0.0000)
Cd (0.6667, 0.3333, 0.4201)
Cu (0.3333, 0.6667, 0.8326)
Au (0.0000, 0.0000, 0.6525)
Au (0.3333, 0.6667, 0.1832)

Most intense lines, 10° ≤ 2θ ≤ 80°, sorted by position:
2theta  intensity
26.9  141
29.3  1000
35.7  607
44.7  723
47.5  551
56.8  160
67.2  211
69.2  146


# 3
Diffraction record for DyCd6Au. The X-ray diffraction stick pattern is theoretical, not measured: it uses a crystal structure in Alexandria, relaxed with GGA-PBE and Cu Kα X-rays.
Lines closer than 0.1° are merged.

Structural model:
a = 4.8529 Å, b = 7.0204 Å, c = 7.0204 Å
α = 50.11°, β = 90.00°, γ = 90.00°
Positions (direct):
Dy (0.0000, 0.0000, 0.0000)
Cd (0.0000, 0.4931, 0.9752)
Cd (0.0000, 0.9752, 0.4931)
Cd (0.5000, 0.1248, 0.6393)
Cd (0.5000, 0.1592, 0.1592)
Cd (0.5000, 0.5944, 0.5944)
Cd (0.5000, 0.6393, 0.1248)
Au (0.0000, 0.4365, 0.4365)

Most intense lines, 10° ≤ 2θ ≤ 80°, sorted by position:
2theta  intensity
31.8  300
33.3  328
33.7  635
37.0  433
38.2  1000
50.6  196
62.5  136
67.6  184


# 4
Diffraction record for DyCdAu. The X-ray diffraction stick pattern is theoretical, not measured: it uses a crystal structure in Alexandria, relaxed with GGA-PBE and Cu Kα X-rays.
Lines closer than 0.1° are merged.

Structural model:
a = 13.6973 Å, b = 3.8700 Å, c = 7.8718 Å
α = 90.00°, β = 90.00°, γ = 90.00°
Positions (direct):
Dy (0.0499, 0.0000, 0.2279)
Dy (0.2500, 0.0000, 0.8272)
Dy (0.4501, 0.0000, 0.2279)
Dy (0.5499, 0.0000, 0.7721)
Dy (0.7500, 0.0000, 0.1728)
Dy (0.9501, 0.0000, 0.7721)
Cd (0.1067, 0.5000, 0.5604)
Cd (0.2500, 0.5000, 0.1815)
Cd (0.3933, 0.5000, 0.5604)
Cd (0.6067, 0.5000, 0.4396)
Cd (0.7500, 0.5000, 0.8185)
Cd (0.8933, 0.5000, 0.4396)
Au (0.0963, 0.5000, 0.9320)
Au (0.2500, 0.0000, 0.4458)
Au (0.4037, 0.5000, 0.9320)
Au (0.5963, 0.5000, 0.0680)
Au (0.7500, 0.0000, 0.5542)
Au (0.9037, 0.5000, 0.0680)

Most intense lines, 10° ≤ 2θ ≤ 80°, sorted by position:
2theta  intensity
32.4  1000
34.7  214
35.0  809
38.1  326
39.5  265
39.6  416
47.0  285
64.0  239


# 5
Diffraction record for Dy4CdIr2Au. The X-ray diffraction stick pattern is theoretical, not measured: it uses a crystal structure in Alexandria, relaxed with GGA-PBE and Cu Kα X-rays.
Lines closer than 0.1° are merged.

Structural model:
a = 8.6516 Å, b = 8.6516 Å, c = 8.6516 Å
α = 33.63°, β = 33.63°, γ = 33.63°
Positions (direct):
Dy (0.1226, 0.1226, 0.1226)
Dy (0.3725, 0.3725, 0.3725)
Dy (0.6275, 0.6275, 0.6275)
Dy (0.8774, 0.8774, 0.8774)
Cd (0.5000, 0.5000, 0.5000)
Ir (0.2464, 0.2464, 0.2464)
Ir (0.7536, 0.7536, 0.7536)
Au (0.0000, 0.0000, 0.0000)

Most intense lines, 10° ≤ 2θ ≤ 80°, sorted by position:
2theta  intensity
20.8  10
35.9  1000
49.5  12
51.7  176
64.5  273
64.6  86
76.1  58
76.2  54


# 6
Diffraction record for Dy2ScCdAu4. The X-ray diffraction stick pattern is theoretical, not measured: it uses a crystal structure in Alexandria, relaxed with GGA-PBE and Cu Kα X-rays.
Lines closer than 0.1° are merged.

Structural model:
a = 8.6862 Å, b = 8.6862 Å, c = 8.6862 Å
α = 32.95°, β = 32.95°, γ = 32.95°
Positions (direct):
Dy (0.2444, 0.2444, 0.2444)
Dy (0.7556, 0.7556, 0.7556)
Sc (0.0000, 0.0000, 0.0000)
Cd (0.5000, 0.5000, 0.5000)
Au (0.1184, 0.1184, 0.1184)
Au (0.3638, 0.3638, 0.3638)
Au (0.6362, 0.6362, 0.6362)
Au (0.8816, 0.8816, 0.8816)

Most intense lines, 10° ≤ 2θ ≤ 80°, sorted by position:
2theta  intensity
25.4  130
36.0  887
36.5  1000
52.2  308
64.4  98
65.3  313
65.6  181
77.5  114


# 7
Diffraction record for DySc2CdAu4. The X-ray diffraction stick pattern is theoretical, not measured: it uses a crystal structure in Alexandria, relaxed with GGA-PBE and Cu Kα X-rays.
Lines closer than 0.1° are merged.

Structural model:
a = 8.4954 Å, b = 8.4954 Å, c = 8.4954 Å
α = 33.29°, β = 33.29°, γ = 33.29°
Positions (direct):
Dy (0.0000, 0.0000, 0.0000)
Sc (0.2435, 0.2435, 0.2435)
Sc (0.7565, 0.7565, 0.7565)
Cd (0.5000, 0.5000, 0.5000)
Au (0.1217, 0.1217, 0.1217)
Au (0.3727, 0.3727, 0.3727)
Au (0.6273, 0.6273, 0.6273)
Au (0.8783, 0.8783, 0.8783)

Most intense lines, 10° ≤ 2θ ≤ 80°, sorted by position:
2theta  intensity
25.8  331
36.7  995
36.9  1000
53.1  345
66.0  168
66.4  351
66.6  178
78.6  113


# 8
Diffraction record for SmDyCdAu. The X-ray diffraction stick pattern is theoretical, not measured: it uses a crystal structure in Alexandria, relaxed with GGA-PBE and Cu Kα X-rays.
Lines closer than 0.1° are merged.

Structural model:
a = 3.7014 Å, b = 3.7014 Å, c = 7.4189 Å
α = 90.00°, β = 90.00°, γ = 90.00°
Positions (direct):
Sm (0.0000, 0.0000, 0.0000)
Dy (0.0000, 0.0000, 0.5270)
Cd (0.5000, 0.5000, 0.2707)
Au (0.5000, 0.5000, 0.7474)

Most intense lines, 10° ≤ 2θ ≤ 80°, sorted by position:
2theta  intensity
11.9  62
34.2  1000
36.4  21
44.0  27
49.1  55
49.2  122
61.3  358
72.1  109


# 9
Diffraction record for Er2Cd2Au3. The X-ray diffraction stick pattern is theoretical, not measured: it uses a crystal structure in Alexandria, relaxed with GGA-PBE and Cu Kα X-rays.
Lines closer than 0.1° are merged.

Structural model:
a = 4.9981 Å, b = 5.0076 Å, c = 7.6718 Å
α = 101.51°, β = 97.30°, γ = 119.61°
Positions (direct):
Er (0.0919, 0.2438, 0.3346)
Er (0.9081, 0.7562, 0.6654)
Cd (0.3269, 0.7790, 0.1052)
Cd (0.6731, 0.2210, 0.8948)
Au (0.2758, 0.4606, 0.7395)
Au (0.5000, 0.0000, 0.5000)
Au (0.7242, 0.5394, 0.2605)

Most intense lines, 10° ≤ 2θ ≤ 80°, sorted by position:
2theta  intensity
12.2  276
31.5  282
35.7  697
36.2  1000
36.7  436
37.6  527
37.7  546
42.0  290


# 10
Diffraction record for Er3CdAu4. The X-ray diffraction stick pattern is theoretical, not measured: it uses a crystal structure in Alexandria, relaxed with GGA-PBE and Cu Kα X-rays.
Lines closer than 0.1° are merged.

Structural model:
a = 4.9762 Å, b = 4.9762 Å, c = 7.0772 Å
α = 90.00°, β = 90.00°, γ = 90.00°
Positions (direct):
Er (0.0000, 0.0000, 0.0000)
Er (0.0000, 0.0000, 0.5000)
Er (0.5000, 0.5000, 0.0000)
Cd (0.5000, 0.5000, 0.5000)
Au (0.0000, 0.5000, 0.2442)
Au (0.0000, 0.5000, 0.7558)
Au (0.5000, 0.0000, 0.2442)
Au (0.5000, 0.0000, 0.7558)

Most intense lines, 10° ≤ 2θ ≤ 80°, sorted by position:
2theta  intensity
36.0  1000
36.1  498
51.7  89
52.0  177
64.6  182
64.8  364
76.3  114
76.6  57


# 11
Diffraction record for ErCd3Au4. The X-ray diffraction stick pattern is theoretical, not measured: it uses a crystal structure in Alexandria, relaxed with GGA-PBE and Cu Kα X-rays.
Lines closer than 0.1° are merged.

Structural model:
a = 9.6657 Å, b = 6.9668 Å, c = 4.8350 Å
α = 90.00°, β = 90.00°, γ = 90.00°
Positions (direct):
Er (0.0000, 0.0000, 0.0000)
Er (0.5000, 0.0000, 0.0000)
Cd (0.0000, 0.5000, 0.0000)
Cd (0.2500, 0.0000, 0.4988)
Cd (0.2500, 0.5000, 0.4986)
Cd (0.5000, 0.5000, 0.0000)
Cd (0.7500, 0.0000, 0.5012)
Cd (0.7500, 0.5000, 0.5014)
Au (0.0000, 0.2540, 0.5000)
Au (0.0000, 0.7460, 0.5000)
Au (0.2500, 0.2540, 0.9985)
Au (0.2500, 0.7460, 0.9985)
Au (0.5000, 0.2540, 0.5000)
Au (0.5000, 0.7460, 0.5000)
Au (0.7500, 0.2540, 0.0015)
Au (0.7500, 0.7460, 0.0015)

Most intense lines, 10° ≤ 2θ ≤ 80°, sorted by position:
2theta  intensity
36.8  1000
37.2  488
52.5  90
53.6  170
66.1  179
66.8  349
78.4  112
79.3  55


# 12
Diffraction record for HoErCdAu. The X-ray diffraction stick pattern is theoretical, not measured: it uses a crystal structure in Alexandria, relaxed with GGA-PBE and Cu Kα X-rays.
Lines closer than 0.1° are merged.

Structural model:
a = 3.6594 Å, b = 3.6594 Å, c = 7.2258 Å
α = 90.00°, β = 90.00°, γ = 90.00°
Positions (direct):
Ho (0.0000, 0.0000, 0.0000)
Er (0.0000, 0.0000, 0.5263)
Cd (0.5000, 0.5000, 0.2647)
Au (0.5000, 0.5000, 0.7603)

Most intense lines, 10° ≤ 2θ ≤ 80°, sorted by position:
2theta  intensity
12.2  81
34.7  516
34.9  1000
49.8  185
50.5  84
62.3  373
62.7  175
73.7  109